No. 1
This entry pairs a crystal structure of Np3Tl3VTe8 with its theoretical XRD peak list. Radiation: a wavelength of 1.5418 Å. Structure: the GGA-PBE geometry in Alexandria.

Atomic structure:
Cell lengths 8.6355, 8.6355, 9.7110 Å; angles 116.09, 116.09, 60.46 degrees
Fractional coordinates of all 15 atoms:
Np 0.0000 0.0000 0.0000
Np 0.0000 0.5000 0.0000
Np 0.5000 0.0000 0.0000
Tl 0.0000 0.5000 0.5000
Tl 0.5000 0.0000 0.5000
Tl 0.5000 0.5000 0.5000
V 0.5000 0.5000 0.0000
Te 0.2399 0.2399 0.2196
Te 0.2575 0.7217 0.2012
Te 0.2769 0.2769 0.7987
Te 0.2783 0.7425 0.7988
Te 0.7217 0.2575 0.2012
Te 0.7231 0.7231 0.2013
Te 0.7425 0.2783 0.7988
Te 0.7601 0.7601 0.7804

Largest 10 diffraction maxima, most intense first, 10 to 80 degrees two-theta:
d = 3.217 Å, 27.73 deg, intensity 1000; d = 2.409 Å, 37.33 deg, intensity 255; d = 2.159 Å, 41.85 deg, intensity 230; d = 6.434 Å, 13.76 deg, intensity 130; d = 2.396 Å, 37.54 deg, intensity 130; d = 1.800 Å, 50.71 deg, intensity 123; d = 2.174 Å, 41.54 deg, intensity 117; d = 8.359 Å, 10.58 deg, intensity 105; d = 1.610 Å, 57.21 deg, intensity 85; d = 2.090 Å, 43.30 deg, intensity 76

---

No. 2
This entry pairs a crystal structure of Np3Tl4ZnTe8 with its theoretical XRD peak list. Radiation: a wavelength of 1.5418 Å. Structure: the GGA-PBE geometry in Alexandria.

Atomic structure:
Cell lengths 9.5954, 9.5954, 9.5954 Å; angles 55.19, 55.19, 55.19 degrees
Fractional coordinates of all 16 atoms:
Np 0.0000 0.5000 0.5000
Np 0.5000 0.0000 0.5000
Np 0.5000 0.5000 0.0000
Tl 0.0000 0.0000 0.5000
Tl 0.0000 0.5000 0.0000
Tl 0.5000 0.0000 0.0000
Tl 0.5000 0.5000 0.5000
Zn 0.0000 0.0000 0.0000
Te 0.2296 0.2296 0.7461
Te 0.2296 0.7461 0.2296
Te 0.2539 0.7704 0.7704
Te 0.2615 0.2615 0.2615
Te 0.7385 0.7385 0.7385
Te 0.7461 0.2296 0.2296
Te 0.7704 0.2539 0.7704
Te 0.7704 0.7704 0.2539

Largest 10 diffraction maxima, most intense first, 10 to 80 degrees two-theta:
d = 3.252 Å, 27.42 deg, intensity 1000; d = 2.386 Å, 37.70 deg, intensity 374; d = 2.222 Å, 40.59 deg, intensity 369; d = 1.415 Å, 66.04 deg, intensity 208; d = 1.835 Å, 49.69 deg, intensity 197; d = 1.498 Å, 61.97 deg, intensity 139; d = 1.626 Å, 56.60 deg, intensity 116; d = 1.312 Å, 71.95 deg, intensity 113; d = 3.670 Å, 24.25 deg, intensity 72; d = 1.283 Å, 73.86 deg, intensity 63

---

No. 3
This entry pairs a crystal structure of NpU2Te5 with its theoretical XRD peak list. Radiation: a wavelength of 1.5418 Å. Structure: the GGA-PBE geometry in Alexandria.

Atomic structure:
Cell lengths 7.4585, 7.4585, 5.3515 Å; angles 90.00, 90.00, 90.00 degrees
Fractional coordinates of all 8 atoms:
Np 0.0000 0.0000 0.0000
U 0.0000 0.5000 0.5000
U 0.5000 0.0000 0.5000
Te 0.0000 0.0000 0.5000
Te 0.2765 0.2765 0.0000
Te 0.2765 0.7235 0.0000
Te 0.7235 0.2765 0.0000
Te 0.7235 0.7235 0.0000

Largest 10 diffraction maxima, most intense first, 10 to 80 degrees two-theta:
d = 3.060 Å, 29.19 deg, intensity 1000; d = 3.756 Å, 23.69 deg, intensity 812; d = 2.637 Å, 34.00 deg, intensity 788; d = 1.878 Å, 48.47 deg, intensity 587; d = 2.676 Å, 33.49 deg, intensity 446; d = 7.458 Å, 11.87 deg, intensity 440; d = 3.336 Å, 26.73 deg, intensity 350; d = 2.158 Å, 41.86 deg, intensity 316; d = 1.530 Å, 60.52 deg, intensity 280; d = 1.865 Å, 48.84 deg, intensity 264

---

No. 4
This entry pairs a crystal structure of ThZrNp with its theoretical XRD peak list. Radiation: a wavelength of 1.5418 Å. Structure: the GGA-PBE geometry in Alexandria.

Atomic structure:
Cell lengths 7.5431, 7.5431, 6.1679 Å; angles 90.00, 90.00, 90.00 degrees
Fractional coordinates of all 12 atoms:
Th 0.2494 0.2494 0.0000
Th 0.2506 0.7494 0.2500
Th 0.7494 0.2506 0.7500
Th 0.7506 0.7506 0.5000
Zr 0.2183 0.2183 0.5000
Zr 0.2817 0.7183 0.7500
Zr 0.7183 0.2817 0.2500
Zr 0.7817 0.7817 0.0000
Np 0.0158 0.9842 0.7500
Np 0.4842 0.4842 0.5000
Np 0.5158 0.5158 0.0000
Np 0.9842 0.0158 0.2500

Largest 10 diffraction maxima, most intense first, 10 to 80 degrees two-theta:
d = 2.668 Å, 33.59 deg, intensity 1000; d = 5.334 Å, 16.62 deg, intensity 618; d = 1.886 Å, 48.24 deg, intensity 460; d = 2.276 Å, 39.59 deg, intensity 322; d = 1.334 Å, 70.59 deg, intensity 277; d = 2.855 Å, 31.34 deg, intensity 224; d = 2.960 Å, 30.20 deg, intensity 158; d = 1.541 Å, 60.03 deg, intensity 138; d = 2.385 Å, 37.71 deg, intensity 136; d = 1.949 Å, 46.61 deg, intensity 131

---

No. 5
This entry pairs a crystal structure of TmNp4 with its theoretical XRD peak list. Radiation: a wavelength of 1.5418 Å. Structure: the GGA-PBE geometry in Alexandria.

Atomic structure:
Cell lengths 5.4174, 5.4174, 5.4174 Å; angles 90.00, 90.00, 90.00 degrees
Fractional coordinates of all 5 atoms:
Tm 0.0000 0.0000 0.0000
Np 0.0000 0.0000 0.5000
Np 0.0000 0.5000 0.0000
Np 0.5000 0.0000 0.0000
Np 0.5000 0.5000 0.5000

Largest 10 diffraction maxima, most intense first, 10 to 80 degrees two-theta:
d = 2.709 Å, 33.07 deg, intensity 1000; d = 3.128 Å, 28.54 deg, intensity 929; d = 1.915 Å, 47.47 deg, intensity 747; d = 1.633 Å, 56.32 deg, intensity 440; d = 1.211 Å, 79.05 deg, intensity 347; d = 1.564 Å, 59.07 deg, intensity 263; d = 1.243 Å, 76.67 deg, intensity 183; d = 5.417 Å, 16.36 deg, intensity 131; d = 1.354 Å, 69.39 deg, intensity 123; d = 3.831 Å, 23.22 deg, intensity 116